The following is a computed PXRD pattern of ThCuH8Ru2. It was derived from the PBE geometry in Alexandria, using CuKα.
Peak positions follow from Bragg's law for the DFT cell and can differ from measured ones.

Principal peaks in the range 2θ from 10° to 80°, by intensity:
- 25.92°, rel. 100
- 35.64°, rel. 93
- 38.30°, rel. 68
- 21.84°, rel. 41
- 53.31°, rel. 30
- 67.53°, rel. 29
- 58.35°, rel. 21
- 46.83°, rel. 20
- 62.22°, rel. 19
- 62.04°, rel. 18

Structure:
a b c (Å): 4.6999 4.6999 6.4148
angles (deg): 90.00 90.00 120.00
Space group P-3m1 (No. 164)
One atom of each set of equivalent atoms:
1 Th 0.0000 0.0000 0.0000 [1 per cell]
2 Cu 0.0000 0.0000 0.5000 [1 per cell]
3 H 0.1365 0.2730 0.3019 [6 per cell]
4 H 0.3333 0.6667 0.0754 [2 per cell]
5 Ru 0.3333 0.6667 0.3342 [2 per cell]

***

The following is a computed PXRD pattern of Cu2H3S4. It was derived from the PBE geometry in Alexandria, using CuKα.
Peak positions follow from Bragg's law for the DFT cell and can differ from measured ones.

Principal peaks in the range 2θ from 10° to 80°, by intensity:
- 26.32°, rel. 100
- 23.25°, rel. 94
- 16.40°, rel. 73
- 31.60°, rel. 45
- 27.36°, rel. 43
- 28.58°, rel. 42
- 43.49°, rel. 36
- 55.32°, rel. 20
- 42.75°, rel. 19
- 42.06°, rel. 17

Structure:
a b c (Å): 11.3307 7.6513 7.5737
angles (deg): 90.00 107.41 90.00
Space group C2/c (No. 15)
One atom of each set of equivalent atoms:
1 Cu 0.2217 0.0072 0.0844 [8 per cell]
2 H 0.0000 0.0669 0.2500 [4 per cell]
3 H 0.0744 0.4251 0.1481 [8 per cell]
4 S 0.0901 0.4114 0.7216 [8 per cell]
5 S 0.1479 0.0970 0.3069 [8 per cell]

***

The following is a computed PXRD pattern of CuH2S. It was derived from the PBE geometry in Alexandria, using CuKα.
Peak positions follow from Bragg's law for the DFT cell and can differ from measured ones.

Principal peaks in the range 2θ from 10° to 80°, by intensity:
- 24.71°, rel. 100
- 33.15°, rel. 95
- 47.48°, rel. 65
- 29.49°, rel. 53
- 29.31°, rel. 51
- 47.72°, rel. 48
- 32.09°, rel. 47
- 28.37°, rel. 38
- 33.61°, rel. 38
- 33.87°, rel. 36

Structure:
a b c (Å): 3.8364 3.8380 10.9692
angles (deg): 93.21 96.35 119.92
Space group P-1 (No. 2)
One atom of each set of equivalent atoms:
1 Cu 0.0975 0.2781 0.3679 [2 per cell]
2 H 0.0994 0.7729 0.8674 [2 per cell]
3 H 0.1279 0.8058 0.9371 [2 per cell]
4 S 0.4434 0.9542 0.3914 [2 per cell]

***

The following is a computed PXRD pattern of TaCuSb2H. It was derived from the PBE geometry in Alexandria, using CuKα.
Peak positions follow from Bragg's law for the DFT cell and can differ from measured ones.

Principal peaks in the range 2θ from 10° to 80°, by intensity:
- 33.67°, rel. 100
- 37.55°, rel. 76
- 33.41°, rel. 51
- 48.17°, rel. 37
- 48.36°, rel. 36
- 62.79°, rel. 34
- 16.65°, rel. 26
- 70.19°, rel. 23
- 70.64°, rel. 12
- 70.79°, rel. 11

Structure:
a b c (Å): 5.3238 5.3238 3.1046
angles (deg): 90.00 90.00 90.00
Space group P4/mmm (No. 123)
One atom of each set of equivalent atoms:
1 Ta 0.0000 0.0000 0.0000 [1 per cell]
2 Cu 0.5000 0.5000 0.5000 [1 per cell]
3 Sb 0.0000 0.5000 0.5000 [2 per cell]
4 H 0.5000 0.5000 0.0000 [1 per cell]

***

The following is a computed PXRD pattern of Sm4Cu2H. It was derived from the PBE geometry in Alexandria, using CuKα.
Peak positions follow from Bragg's law for the DFT cell and can differ from measured ones.

Principal peaks in the range 2θ from 10° to 80°, by intensity:
- 29.25°, rel. 100
- 36.59°, rel. 69
- 37.69°, rel. 63
- 54.37°, rel. 32
- 62.93°, rel. 28
- 53.54°, rel. 23
- 26.41°, rel. 21
- 67.33°, rel. 17
- 58.35°, rel. 12
- 46.61°, rel. 9

Structure:
a b c (Å): 4.7728 4.7728 14.3220
angles (deg): 90.00 90.00 90.00
Space group I4/mmm (No. 139)
One atom of each set of equivalent atoms:
1 Sm 0.0000 0.0000 0.1919 [4 per cell]
2 Sm 0.0000 0.5000 0.0000 [4 per cell]
3 Cu 0.0000 0.0000 0.3808 [4 per cell]
4 H 0.0000 0.0000 0.0000 [2 per cell]

***

The following is a computed PXRD pattern of Cu4Sn2H. It was derived from the PBE geometry in Alexandria, using CuKα.
Peak positions follow from Bragg's law for the DFT cell and can differ from measured ones.

Principal peaks in the range 2θ from 10° to 80°, by intensity:
- 42.75°, rel. 100
- 34.97°, rel. 69
- 45.92°, rel. 63
- 32.03°, rel. 38
- 63.87°, rel. 31
- 41.86°, rel. 28
- 30.67°, rel. 24
- 66.97°, rel. 20
- 41.70°, rel. 15
- 77.84°, rel. 13

Structure:
a b c (Å): 3.9522 3.9522 12.9480
angles (deg): 90.00 90.00 90.00
Space group I4/mmm (No. 139)
One atom of each set of equivalent atoms:
1 Cu 0.0000 0.0000 0.1340 [4 per cell]
2 Cu 0.0000 0.5000 0.0000 [4 per cell]
3 Sn 0.0000 0.0000 0.3381 [4 per cell]
4 H 0.0000 0.0000 0.0000 [2 per cell]

***

The following is a computed PXRD pattern of Sr3Cu2H9. It was derived from the PBE geometry in Alexandria, using CuKα.
Peak positions follow from Bragg's law for the DFT cell and can differ from measured ones.

Principal peaks in the range 2θ from 10° to 80°, by intensity:
- 28.29°, rel. 100
- 34.14°, rel. 96
- 46.00°, rel. 33
- 44.91°, rel. 31
- 57.60°, rel. 27
- 69.52°, rel. 18
- 61.13°, rel. 17
- 58.51°, rel. 16
- 78.98°, rel. 11
- 71.91°, rel. 11

Structure:
a b c (Å): 9.0966 9.0966 13.1395
angles (deg): 90.00 90.00 120.00
Space group R-3c (No. 167, hexagonal axes)
One atom of each set of equivalent atoms:
1 Sr 0.0000 0.3340 0.2500 [18 per cell]
2 Cu 0.0000 0.0000 0.1541 [12 per cell]
3 H 0.0000 0.1543 0.7500 [18 per cell]
4 H 0.0013 0.1682 0.4070 [36 per cell]

***

The following is a computed PXRD pattern of Sr4Cu2H. It was derived from the PBE geometry in Alexandria, using CuKα.
Peak positions follow from Bragg's law for the DFT cell and can differ from measured ones.

Principal peaks in the range 2θ from 10° to 80°, by intensity:
- 27.27°, rel. 100
- 33.18°, rel. 71
- 35.68°, rel. 69
- 32.34°, rel. 69
- 48.92°, rel. 52
- 51.35°, rel. 24
- 59.11°, rel. 22
- 62.51°, rel. 22
- 62.02°, rel. 17
- 25.02°, rel. 14

Structure:
a b c (Å): 5.0327 5.0327 16.5840
angles (deg): 90.00 90.00 90.00
Space group I4/mmm (No. 139)
One atom of each set of equivalent atoms:
1 Sr 0.0000 0.0000 0.1861 [4 per cell]
2 Sr 0.0000 0.5000 0.0000 [4 per cell]
3 Cu 0.0000 0.0000 0.3772 [4 per cell]
4 H 0.0000 0.0000 0.0000 [2 per cell]

***

The following is a computed PXRD pattern of SrZnCuH6. It was derived from the PBE geometry in Alexandria, using CuKα.
Peak positions follow from Bragg's law for the DFT cell and can differ from measured ones.

Principal peaks in the range 2θ from 10° to 80°, by intensity:
- 25.86°, rel. 100
- 28.28°, rel. 76
- 30.72°, rel. 52
- 34.34°, rel. 49
- 38.80°, rel. 37
- 41.57°, rel. 27
- 36.13°, rel. 25
- 44.33°, rel. 19
- 38.59°, rel. 18
- 54.97°, rel. 18

Structure:
a b c (Å): 4.4494 4.7457 5.0654
angles (deg): 90.43 100.15 109.60
Space group P1 (No. 1)
One atom of each set of equivalent atoms:
1 Sr 0.0000 0.0000 0.0000 [1 per cell]
2 Zn 0.3693 0.6604 0.5397 [1 per cell]
3 Cu 0.7674 0.3570 0.3707 [1 per cell]
4 H 0.0488 0.2628 0.5677 [1 per cell]
5 H 0.0850 0.5955 0.2537 [1 per cell]
6 H 0.3910 0.8206 0.8332 [1 per cell]
7 H 0.5109 0.0147 0.3688 [1 per cell]
8 H 0.5934 0.3639 0.0722 [1 per cell]
9 H 0.7144 0.5839 0.6006 [1 per cell]

***

The following is a computed PXRD pattern of TaCuH. It was derived from the PBE geometry in Alexandria, using CuKα.
Peak positions follow from Bragg's law for the DFT cell and can differ from measured ones.

Principal peaks in the range 2θ from 10° to 80°, by intensity:
- 37.89°, rel. 100
- 40.56°, rel. 94
- 40.84°, rel. 44
- 40.97°, rel. 42
- 31.79°, rel. 33
- 34.31°, rel. 26
- 33.72°, rel. 24
- 70.05°, rel. 23
- 20.77°, rel. 17
- 54.12°, rel. 17

Structure:
a b c (Å): 2.9469 4.7464 5.4715
angles (deg): 114.69 105.42 90.03
Space group P-1 (No. 2)
One atom of each set of equivalent atoms:
1 Ta 0.1031 0.3593 0.1938 [2 per cell]
2 Cu 0.3611 0.1137 0.7205 [2 per cell]
3 H 0.2895 0.6887 0.5857 [2 per cell]

***

The following is a computed PXRD pattern of Cu3Te2H2. It was derived from the PBE geometry in Alexandria, using CuKα.
Peak positions follow from Bragg's law for the DFT cell and can differ from measured ones.

Principal peaks in the range 2θ from 10° to 80°, by intensity:
- 31.22°, rel. 100
- 31.54°, rel. 77
- 44.44°, rel. 54
- 21.81°, rel. 49
- 29.60°, rel. 35
- 46.85°, rel. 32
- 46.99°, rel. 32
- 29.19°, rel. 30
- 37.54°, rel. 28
- 37.76°, rel. 28

Structure:
a b c (Å): 2.9474 6.0752 6.3238
angles (deg): 83.70 76.87 89.98
Space group P-1 (No. 2)
One atom of each set of equivalent atoms:
1 Cu 0.0000 0.0000 0.0000 [1 per cell]
2 Cu 0.1693 0.2392 0.6589 [2 per cell]
3 Te 0.1434 0.6834 0.7142 [2 per cell]
4 H 0.4138 0.8560 0.1721 [2 per cell]

***

The following is a computed PXRD pattern of TiCu2H. It was derived from the PBE geometry in Alexandria, using CuKα.
Peak positions follow from Bragg's law for the DFT cell and can differ from measured ones.

Principal peaks in the range 2θ from 10° to 80°, by intensity:
- 41.24°, rel. 100
- 43.16°, rel. 54
- 66.97°, rel. 28
- 73.83°, rel. 26
- 21.20°, rel. 24
- 34.95°, rel. 19
- 50.27°, rel. 11
- 62.69°, rel. 6
- 55.14°, rel. 5
- 77.83°, rel. 4

Structure:
a b c (Å): 7.2605 7.2605 7.2605
angles (deg): 90.00 90.00 90.00
Space group Fd-3m (No. 227, origin choice 2)
One atom of each set of equivalent atoms:
1 Ti 0.1250 0.1250 0.1250 [8 per cell]
2 Cu 0.0000 0.0000 0.5000 [16 per cell]
3 H 0.1250 0.1250 0.6250 [8 per cell]